For Mn3Sb2, a crystal structure in Alexandria, relaxed with PBE gives the calculated PXRD pattern in this record (Cu Ka).
Kinematic intensities with the Lorentz-polarization factor, no thermal factor.

Peak list (12 most intense, 2θ = 10–90°, in order of falling intensity)
| Position (°2θ) | Rel. int. |
| --- | --- |
| 41.78 | 100 |
| 41.53 | 85 |
| 29.12 | 85 |
| 60.38 | 26 |
| 76.12 | 26 |
| 85.45 | 23 |
| 54.61 | 19 |
| 51.74 | 17 |
| 76.29 | 16 |
| 68.60 | 15 |
| 57.29 | 13 |
| 33.55 | 13 |

Atomic structure:
```
5
Lattice="4.324 0.000 0.000 -2.162 3.744 0.000 0.000 0.000 5.342" Properties=species:S:1:pos:R:3 pbc="T T T"
Mn 0.000 0.000 0.000
Mn 2.162 1.248 1.325
Mn 2.162 1.248 4.017
Sb 0.000 0.000 2.671
Sb 0.000 2.496 0.000
```

=====

For LaPHPd, a crystal structure in Alexandria, relaxed with PBE gives the calculated PXRD pattern in this record (Cu Ka).
Kinematic intensities with the Lorentz-polarization factor, no thermal factor.

Peak list (12 most intense, 2θ = 10–90°, in order of falling intensity)
| Position (°2θ) | Rel. int. |
| --- | --- |
| 32.83 | 100 |
| 41.69 | 42 |
| 54.05 | 24 |
| 63.53 | 24 |
| 23.71 | 22 |
| 70.50 | 21 |
| 45.66 | 11 |
| 76.22 | 9 |
| 76.10 | 7 |
| 52.08 | 5 |
| 48.52 | 3 |
| 83.80 | 3 |

Atomic structure:
```
4
Lattice="4.333 0.000 0.000 -2.166 3.752 0.000 0.000 0.000 3.974" Properties=species:S:1:pos:R:3 pbc="T T T"
La 0.000 0.000 0.000
P 0.000 2.501 1.987
H 2.166 1.251 0.000
Pd 2.166 1.251 1.987
```

=====

For Li5Ac2Pt4, a crystal structure in Alexandria, relaxed with PBE gives the calculated PXRD pattern in this record (Cu Ka).
Kinematic intensities with the Lorentz-polarization factor, no thermal factor.

Peak list (12 most intense, 2θ = 10–90°, in order of falling intensity)
| Position (°2θ) | Rel. int. |
| --- | --- |
| 16.03 | 100 |
| 38.19 | 61 |
| 25.35 | 51 |
| 37.67 | 45 |
| 40.28 | 44 |
| 33.85 | 44 |
| 37.76 | 36 |
| 29.48 | 35 |
| 18.57 | 17 |
| 41.65 | 15 |
| 63.44 | 15 |
| 64.90 | 15 |

Atomic structure:
```
11
Lattice="6.633 -2.648 0.000 6.633 2.648 0.000 -4.441 0.000 6.702" Properties=species:S:1:pos:R:3 pbc="T T T"
Li 0.000 0.000 0.000
Li 4.778 1.279 1.706
Li 4.048 1.279 4.996
Li 4.778 -1.279 1.706
Li 4.048 -1.279 4.996
Ac 0.464 0.000 4.827
Ac 8.362 0.000 1.875
Pt 2.628 0.000 0.311
Pt 2.939 0.000 3.103
Pt 5.888 0.000 3.599
Pt 6.199 0.000 6.391
```

=====

For Mn2Cr4N, a crystal structure in Alexandria, relaxed with PBE gives the calculated PXRD pattern in this record (Cu Ka).
Kinematic intensities with the Lorentz-polarization factor, no thermal factor.

Peak list (12 most intense, 2θ = 10–90°, in order of falling intensity)
| Position (°2θ) | Rel. int. |
| --- | --- |
| 44.50 | 100 |
| 41.83 | 32 |
| 48.68 | 31 |
| 76.38 | 27 |
| 51.85 | 10 |
| 37.04 | 7 |
| 78.25 | 7 |
| 14.50 | 7 |
| 57.81 | 5 |
| 83.80 | 5 |
| 68.07 | 4 |
| 83.19 | 3 |

Atomic structure:
```
28
Lattice="0.000 5.290 5.290 5.290 0.000 5.290 5.290 5.290 0.000" Properties=species:S:1:pos:R:3 pbc="T T T"
Mn 8.363 4.862 4.862
Mn 2.217 2.217 2.217
Mn 5.718 5.718 2.217
Mn 5.718 2.217 5.718
Mn 4.862 8.363 4.862
Mn 4.862 4.862 8.363
Mn 8.363 8.363 8.363
Mn 2.217 5.718 5.718
Cr 0.000 0.000 0.000
Cr 2.645 2.645 0.000
Cr 2.645 0.000 2.645
Cr 3.968 3.968 1.958
Cr 3.968 1.958 3.968
Cr 5.977 3.968 3.968
Cr 6.613 6.613 4.603
Cr 6.613 4.603 6.613
Cr 8.622 6.613 6.613
Cr 0.000 2.645 2.645
Cr 1.958 3.968 3.968
Cr 3.968 5.977 3.968
Cr 3.968 3.968 5.977
Cr 4.603 6.613 6.613
Cr 6.613 8.622 6.613
Cr 6.613 6.613 8.622
N 5.290 2.645 2.645
N 2.645 5.290 2.645
N 2.645 2.645 5.290
N 5.290 5.290 5.290
```

=====

For PaPbSe, a crystal structure in Alexandria, relaxed with PBE gives the calculated PXRD pattern in this record (Cu Ka).
Kinematic intensities with the Lorentz-polarization factor, no thermal factor.

Peak list (12 most intense, 2θ = 10–90°, in order of falling intensity)
| Position (°2θ) | Rel. int. |
| --- | --- |
| 31.77 | 100 |
| 36.53 | 97 |
| 30.69 | 53 |
| 42.98 | 52 |
| 53.74 | 45 |
| 26.12 | 29 |
| 74.54 | 26 |
| 61.53 | 23 |
| 62.43 | 22 |
| 21.72 | 21 |
| 42.08 | 21 |
| 71.16 | 20 |

Atomic structure:
```
12
Lattice="4.208 0.000 0.000 0.000 4.208 0.000 0.000 0.000 17.478" Properties=species:S:1:pos:R:3 pbc="T T T"
Pa 0.000 0.000 2.653
Pa 0.000 0.000 14.825
Pa 2.104 2.104 6.086
Pa 2.104 2.104 11.392
Pb 0.000 2.104 0.000
Pb 0.000 2.104 8.739
Pb 2.104 0.000 0.000
Pb 2.104 0.000 8.739
Se 0.000 0.000 5.566
Se 0.000 0.000 11.913
Se 2.104 2.104 3.173
Se 2.104 2.104 14.305
```

=====

For Pm3Nd3Si4, a crystal structure in Alexandria, relaxed with PBE gives the calculated PXRD pattern in this record (Cu Ka).
Kinematic intensities with the Lorentz-polarization factor, no thermal factor.

Peak list (12 most intense, 2θ = 10–90°, in order of falling intensity)
| Position (°2θ) | Rel. int. |
| --- | --- |
| 31.00 | 100 |
| 33.13 | 93 |
| 25.65 | 44 |
| 26.29 | 39 |
| 56.84 | 28 |
| 41.92 | 26 |
| 36.55 | 25 |
| 36.65 | 25 |
| 54.36 | 16 |
| 54.58 | 16 |
| 65.86 | 15 |
| 32.54 | 13 |

Atomic structure:
```
10
Lattice="4.310 0.000 0.000 0.000 5.478 5.503 0.000 -5.478 5.503" Properties=species:S:1:pos:R:3 pbc="T T T"
Pm 0.000 0.000 0.000
Pm 0.000 -1.933 7.460
Pm 0.000 1.933 7.460
Nd 0.000 0.000 3.886
Nd 2.155 -2.725 4.698
Nd 2.155 2.725 4.698
Si 2.155 -1.223 1.932
Si 2.155 1.223 1.932
Si 2.155 0.000 6.247
Si 2.155 0.000 8.692
```

=====

Repeat the sixth record exactly.
For Pm3Nd3Si4, a crystal structure in Alexandria, relaxed with PBE gives the calculated PXRD pattern in this record (Cu Ka).
Kinematic intensities with the Lorentz-polarization factor, no thermal factor.

Peak list (12 most intense, 2θ = 10–90°, in order of falling intensity)
| Position (°2θ) | Rel. int. |
| --- | --- |
| 31.00 | 100 |
| 33.13 | 93 |
| 25.65 | 44 |
| 26.29 | 39 |
| 56.84 | 28 |
| 41.92 | 26 |
| 36.55 | 25 |
| 36.65 | 25 |
| 54.36 | 16 |
| 54.58 | 16 |
| 65.86 | 15 |
| 32.54 | 13 |

Atomic structure:
```
10
Lattice="4.310 0.000 0.000 0.000 5.478 5.503 0.000 -5.478 5.503" Properties=species:S:1:pos:R:3 pbc="T T T"
Pm 0.000 0.000 0.000
Pm 0.000 -1.933 7.460
Pm 0.000 1.933 7.460
Nd 0.000 0.000 3.886
Nd 2.155 -2.725 4.698
Nd 2.155 2.725 4.698
Si 2.155 -1.223 1.932
Si 2.155 1.223 1.932
Si 2.155 0.000 6.247
Si 2.155 0.000 8.692
```